Entry 1:
The following is a simulated X-ray diffraction stick pattern of LiY3Rh8. It was derived from a DFT-relaxed cell (PBE, Alexandria), using Cu Kα X-rays.
Neutral-atom scattering factors, no anomalous dispersion.

Most intense lines, 5 to 70 degrees two-theta, in order of falling intensity:
two_theta  d (Å)  I/Imax
39.9  2.257  100
41.8  2.160  57
20.5  4.326  37
39.8  2.264  34
64.7  1.441  31
41.6  2.170  18
48.6  1.873  17
33.9  2.644  11
33.8  2.653  10
64.5  1.444  7
60.6  1.528  5
53.4  1.716  4

Structural model:
```
data_LiY3Rh8
_cell_length_a 5.2883
_cell_length_b 5.2883
_cell_length_c 26.0419
_cell_angle_alpha 90.00
_cell_angle_beta 90.00
_cell_angle_gamma 120.00
_space_group_name_H-M_alt 'R 3 m'
_space_group_IT_number 160
_space_group_name_Hall 'R 3 -2"'
loop_
_atom_site_label
_atom_site_type_symbol
_atom_site_fract_x
_atom_site_fract_y
_atom_site_fract_z
Li1 Li 0.0000 0.0000 0.0000
Y1 Y 0.0000 0.0000 0.3661
Y2 Y 0.0000 0.0000 0.4955
Y3 Y 0.0000 0.0000 0.8788
Rh1 Rh 0.0000 0.0000 0.1840
Rh2 Rh 0.0000 0.0000 0.6838
Rh3 Rh 0.9998 0.4999 0.4337
Rh4 Rh 0.1675 0.3349 0.2675
```

Entry 2:
The following is a simulated X-ray diffraction stick pattern of Li3Zn4Rh. It was derived from a DFT-relaxed cell (PBE, Alexandria), using Cu Kα X-rays.
Neutral-atom scattering factors, no anomalous dispersion.

Most intense lines, 5 to 70 degrees two-theta, in order of falling intensity:
two_theta  d (Å)  I/Imax
42.4  2.134  100
41.1  2.197  55
15.1  5.873  28
25.3  3.518  25
28.7  3.106  24
20.2  4.393  21
59.5  1.553  17
30.4  2.936  10
32.6  2.746  9
36.8  2.441  9
52.0  1.759  9
48.9  1.863  8

Structural model:
```
data_Li3Zn4Rh
_cell_length_a 8.7941
_cell_length_b 5.8728
_cell_length_c 4.3891
_cell_angle_alpha 90.00
_cell_angle_beta 90.00
_cell_angle_gamma 90.00
_space_group_name_H-M_alt 'P m m a'
_space_group_IT_number 51
loop_
_space_group_symop_operation_xyz
'x,y,z'
'-x,-y,-z'
'-x+1/2,-y,z'
'x+1/2,y,-z'
'x+1/2,-y,-z'
'-x+1/2,y,z'
'-x,y,-z'
'x,-y,z'
loop_
_atom_site_label
_atom_site_type_symbol
_atom_site_fract_x
_atom_site_fract_y
_atom_site_fract_z
Li1 Li 0.0000 0.0000 0.0000
Li2 Li 0.2500 0.0000 0.4843
Li3 Li 0.2500 0.5000 0.4833
Zn1 Zn 0.0000 0.2573 0.5000
Zn2 Zn 0.2500 0.2590 0.9845
Rh1 Rh 0.0000 0.5000 0.0000
```

Entry 3:
The following is a simulated X-ray diffraction stick pattern of Li23ZnRh6. It was derived from a DFT-relaxed cell (PBE, Alexandria), using Cu Kα X-rays.
Neutral-atom scattering factors, no anomalous dispersion.

Most intense lines, 5 to 70 degrees two-theta, in order of falling intensity:
two_theta  d (Å)  I/Imax
25.4  3.508  100
42.1  2.148  92
14.6  6.077  81
29.4  3.038  80
49.8  1.832  45
33.0  2.718  41
69.1  1.359  25
44.7  2.026  22
52.1  1.754  20
20.7  4.297  19
12.6  7.017  18
67.1  1.394  17

Structural model:
```
data_Li23ZnRh6
_cell_length_a 12.1534
_cell_length_b 12.1534
_cell_length_c 12.1534
_cell_angle_alpha 90.00
_cell_angle_beta 90.00
_cell_angle_gamma 90.00
_space_group_name_H-M_alt 'F m -3 m'
_space_group_IT_number 225
_space_group_name_Hall '-F 4 2 3'
loop_
_atom_site_label
_atom_site_type_symbol
_atom_site_fract_x
_atom_site_fract_y
_atom_site_fract_z
Li1 Li 0.0000 0.0000 0.0000
Li2 Li 0.0000 0.2500 0.2500
Li3 Li 0.1202 0.1202 0.1202
Li4 Li 0.1236 0.1236 0.3764
Zn1 Zn 0.0000 0.0000 0.5000
Rh1 Rh 0.0000 0.0000 0.2586
```

Entry 4:
The following is a simulated X-ray diffraction stick pattern of Li2Zn5Rh2. It was derived from a DFT-relaxed cell (PBE, Alexandria), using Cu Kα X-rays.
Neutral-atom scattering factors, no anomalous dispersion.

Most intense lines, 5 to 70 degrees two-theta, in order of falling intensity:
two_theta  d (Å)  I/Imax
41.7  2.168  100
26.3  3.395  15
60.4  1.533  14
23.7  3.752  14
22.3  3.988  13
54.7  1.679  10
47.8  1.903  10
33.7  2.659  7
63.4  1.468  4
51.9  1.761  3
49.9  1.826  2
48.5  1.876  2

Structural model:
```
data_Li2Zn5Rh2
_cell_length_a 7.9769
_cell_length_b 4.3298
_cell_length_c 7.5073
_cell_angle_alpha 90.00
_cell_angle_beta 90.00
_cell_angle_gamma 90.00
_space_group_name_H-M_alt 'A m m 2'
_space_group_IT_number 38
loop_
_space_group_symop_operation_xyz
'x,y,z'
'-x,-y,z'
'-x,y,z'
'x,-y,z'
'x,y+1/2,z+1/2'
'-x,-y+1/2,z+1/2'
'-x,y+1/2,z+1/2'
'x,-y+1/2,z+1/2'
loop_
_atom_site_label
_atom_site_type_symbol
_atom_site_fract_x
_atom_site_fract_y
_atom_site_fract_z
Li1 Li 0.0000 0.0000 0.0000
Li2 Li 0.5000 0.0000 0.3324
Zn1 Zn 0.1599 0.0000 0.3328
Zn2 Zn 0.3246 0.0000 0.9996
Zn3 Zn 0.5000 0.0000 0.6658
Rh1 Rh 0.1881 0.0000 0.6660
```

Entry 5:
The following is a simulated X-ray diffraction stick pattern of Li4Zn3Rh. It was derived from a DFT-relaxed cell (PBE, Alexandria), using Cu Kα X-rays.
Neutral-atom scattering factors, no anomalous dispersion.

Most intense lines, 5 to 70 degrees two-theta, in order of falling intensity:
two_theta  d (Å)  I/Imax
20.0  4.429  100
40.7  2.215  81
38.4  2.346  38
46.4  1.956  27
40.0  2.252  17
52.4  1.747  15
49.3  1.850  12
61.8  1.502  9
51.1  1.786  5
67.7  1.385  4
67.9  1.381  4
65.3  1.429  4

Structural model:
```
data_Li4Zn3Rh
_cell_length_a 5.5229
_cell_length_b 5.5395
_cell_length_c 7.3982
_cell_angle_alpha 90.00
_cell_angle_beta 90.00
_cell_angle_gamma 90.00
_space_group_name_H-M_alt 'P m n a'
_space_group_IT_number 53
loop_
_space_group_symop_operation_xyz
'x,y,z'
'-x,-y,-z'
'-x+1/2,-y,z+1/2'
'x+1/2,y,-z+1/2'
'x,-y,-z'
'-x,y,z'
'-x+1/2,y,-z+1/2'
'x+1/2,-y,z+1/2'
loop_
_atom_site_label
_atom_site_type_symbol
_atom_site_fract_x
_atom_site_fract_y
_atom_site_fract_z
Li1 Li 0.0000 0.0000 0.0000
Li2 Li 0.0000 0.5000 0.0000
Li3 Li 0.2500 0.2408 0.2500
Zn1 Zn 0.0000 0.5000 0.5000
Zn2 Zn 0.2500 0.2395 0.7500
Rh1 Rh 0.0000 0.0000 0.5000
```

Entry 6:
The following is a simulated X-ray diffraction stick pattern of LiZn6Rh. It was derived from a DFT-relaxed cell (PBE, Alexandria), using Cu Kα X-rays.
Neutral-atom scattering factors, no anomalous dispersion.

Most intense lines, 5 to 70 degrees two-theta, in order of falling intensity:
two_theta  d (Å)  I/Imax
40.7  2.216  100
45.6  1.988  37
16.6  5.336  19
50.7  1.800  13
66.5  1.406  11
28.0  3.189  9
42.9  2.109  5
39.2  2.297  3
48.9  1.864  2
56.7  1.624  2
59.5  1.553  2
36.1  2.486  1

Structural model:
```
data_LiZn6Rh
_cell_length_a 3.9784
_cell_length_b 7.1991
_cell_length_c 7.9486
_cell_angle_alpha 90.00
_cell_angle_beta 90.00
_cell_angle_gamma 90.00
_space_group_name_H-M_alt 'A m m 2'
_space_group_IT_number 38
loop_
_space_group_symop_operation_xyz
'x,y,z'
'-x,-y,z'
'-x,y,z'
'x,-y,z'
'x,y+1/2,z+1/2'
'-x,-y+1/2,z+1/2'
'-x,y+1/2,z+1/2'
'x,-y+1/2,z+1/2'
loop_
_atom_site_label
_atom_site_type_symbol
_atom_site_fract_x
_atom_site_fract_y
_atom_site_fract_z
Li1 Li 0.0000 0.0000 0.0000
Zn1 Zn 0.0000 0.2497 0.2503
Zn2 Zn 0.5000 0.0000 0.2592
Zn3 Zn 0.5000 0.0000 0.7419
Zn4 Zn 0.5000 0.2469 0.0005
Rh1 Rh 0.0000 0.0000 0.5007
```

Entry 7:
The following is a simulated X-ray diffraction stick pattern of LiZnRh3. It was derived from a DFT-relaxed cell (PBE, Alexandria), using Cu Kα X-rays.
Neutral-atom scattering factors, no anomalous dispersion.

Most intense lines, 5 to 70 degrees two-theta, in order of falling intensity:
two_theta  d (Å)  I/Imax
37.8  2.382  100
43.9  2.062  51
63.8  1.458  33
21.5  4.125  4
30.7  2.917  2
49.4  1.845  1
68.2  1.375  1
54.5  1.684  1

Structural model:
```
data_LiZnRh3
_cell_length_a 4.1249
_cell_length_b 4.1249
_cell_length_c 4.1249
_cell_angle_alpha 90.00
_cell_angle_beta 90.00
_cell_angle_gamma 90.00
_space_group_name_H-M_alt 'P m -3 m'
_space_group_IT_number 221
_space_group_name_Hall '-P 4 2 3'
loop_
_atom_site_label
_atom_site_type_symbol
_atom_site_fract_x
_atom_site_fract_y
_atom_site_fract_z
Li1 Li 0.0000 0.0000 0.0000
Zn1 Zn 0.5000 0.5000 0.5000
Rh1 Rh 0.0000 0.0000 0.5000
```

Entry 8:
The following is a simulated X-ray diffraction stick pattern of LiZr2Rh4. It was derived from a DFT-relaxed cell (PBE, Alexandria), using Cu Kα X-rays.
Neutral-atom scattering factors, no anomalous dispersion.

Most intense lines, 5 to 70 degrees two-theta, in order of falling intensity:
two_theta  d (Å)  I/Imax
41.0  2.200  100
41.2  2.191  99
28.8  3.105  38
24.8  3.590  34
59.5  1.552  33
48.6  1.874  16
24.9  3.572  12
50.9  1.795  8
67.6  1.386  6
67.3  1.391  6
48.8  1.868  5
65.4  1.427  4

Structural model:
```
data_LiZr2Rh4
_cell_length_a 4.3995
_cell_length_b 4.3995
_cell_length_c 21.4304
_cell_angle_alpha 90.00
_cell_angle_beta 90.00
_cell_angle_gamma 120.00
_space_group_name_H-M_alt 'R -3 m'
_space_group_IT_number 166
_space_group_name_Hall '-R 3 2"'
loop_
_atom_site_label
_atom_site_type_symbol
_atom_site_fract_x
_atom_site_fract_y
_atom_site_fract_z
Li1 Li 0.0000 0.0000 0.0000
Zr1 Zr 0.0000 0.0000 0.2483
Rh1 Rh 0.0000 0.0000 0.1248
Rh2 Rh 0.0000 0.0000 0.3753
```